(1)
For Ho3Tm2Ru4, a crystal structure in Alexandria, relaxed with PBE gives the calculated powder X-ray diffraction pattern in this record (λ = 1.5418 Å (Cu Kα)).
No peak broadening, texture or thermal motion is included.

Most intense lines, 2θ from 15° to 90°, in order of rising 2θ:
28.95°, 3.084 Å, intensity 21
36.49°, 2.462 Å, intensity 90
37.27°, 2.413 Å, intensity 100
53.15°, 1.723 Å, intensity 30
63.88°, 1.457 Å, intensity 11
65.16°, 1.432 Å, intensity 9
66.70°, 1.402 Å, intensity 31
67.21°, 1.393 Å, intensity 18
77.53°, 1.231 Å, intensity 6
79.45°, 1.206 Å, intensity 11
88.19°, 1.108 Å, intensity 8
89.33°, 1.097 Å, intensity 8

Crystal structure
```
Ho3Tm2Ru4
1.0
4.8252 0.0000 0.0000
-2.4126 4.1787 0.0000
0.0000 0.0000 9.1432
Ho Tm Ru
3 2 4
Direct
0.0000 0.0000 0.0000
0.3333 0.6667 0.5907
0.6667 0.3333 0.4093
0.3333 0.6667 0.2045
0.6667 0.3333 0.7955
0.0000 0.0000 0.3559
0.0000 0.0000 0.6441
0.3333 0.6667 0.8938
0.6667 0.3333 0.1062
```

***

(2)
For Ho2TmRu, a crystal structure in Alexandria, relaxed with PBE gives the calculated powder X-ray diffraction pattern in this record (λ = 1.5418 Å (Cu Kα)).
No peak broadening, texture or thermal motion is included.

Most intense lines, 2θ from 15° to 90°, in order of rising 2θ:
31.26°, 2.861 Å, intensity 92
32.39°, 2.764 Å, intensity 58
33.53°, 2.673 Å, intensity 97
33.93°, 2.642 Å, intensity 100
36.55°, 2.458 Å, intensity 23
38.60°, 2.333 Å, intensity 47
46.50°, 1.953 Å, intensity 35
50.89°, 1.794 Å, intensity 23
54.94°, 1.671 Å, intensity 24
58.54°, 1.577 Å, intensity 40
61.44°, 1.509 Å, intensity 26
84.76°, 1.144 Å, intensity 21

Crystal structure
```
Ho2TmRu
1.0
3.9055 0.0000 0.0000
0.0000 11.7376 0.0000
0.0000 0.0000 9.0057
Ho Tm Ru
8 4 4
Direct
0.0000 0.1424 0.0663
0.0000 0.1424 0.4337
0.0000 0.8576 0.5663
0.0000 0.8576 0.9337
0.5000 0.3576 0.5663
0.5000 0.3576 0.9337
0.5000 0.6424 0.0663
0.5000 0.6424 0.4337
0.0000 0.4243 0.2500
0.0000 0.5757 0.7500
0.5000 0.0757 0.7500
0.5000 0.9243 0.2500
0.0000 0.2417 0.7500
0.0000 0.7583 0.2500
0.5000 0.2583 0.2500
0.5000 0.7417 0.7500
```

***

(3)
For Ho5Tm2Ru5, a crystal structure in Alexandria, relaxed with PBE gives the calculated powder X-ray diffraction pattern in this record (λ = 1.5418 Å (Cu Kα)).
No peak broadening, texture or thermal motion is included.

Most intense lines, 2θ from 15° to 90°, in order of rising 2θ:
26.70°, 3.339 Å, intensity 15
31.39°, 2.850 Å, intensity 20
33.14°, 2.703 Å, intensity 20
36.87°, 2.438 Å, intensity 40
37.40°, 2.405 Å, intensity 100
38.83°, 2.319 Å, intensity 21
53.53°, 1.712 Å, intensity 14
67.11°, 1.395 Å, intensity 14
67.46°, 1.388 Å, intensity 18
68.41°, 1.371 Å, intensity 8
71.25°, 1.323 Å, intensity 8
79.76°, 1.202 Å, intensity 11

Crystal structure
```
Ho5Tm2Ru5
1.0
4.1655 -2.4046 0.0000
4.1655 2.4046 0.0000
-2.7633 0.0000 13.0283
Ho Tm Ru
5 2 5
Direct
0.0000 0.0000 0.0000
0.1906 0.1906 0.5717
0.2841 0.2841 0.8526
0.7159 0.7159 0.1474
0.8094 0.8094 0.4283
0.4282 0.4282 0.2843
0.5718 0.5718 0.7157
0.1143 0.1143 0.3428
0.3552 0.3552 0.0659
0.5000 0.5000 0.5000
0.6448 0.6448 0.9341
0.8857 0.8857 0.6572
```

***

(4)
For Ho3TmRu8, a crystal structure in Alexandria, relaxed with PBE gives the calculated powder X-ray diffraction pattern in this record (λ = 1.5418 Å (Cu Kα)).
No peak broadening, texture or thermal motion is included.

Most intense lines, 2θ from 15° to 90°, in order of rising 2θ:
33.64°, 2.664 Å, intensity 30
33.77°, 2.654 Å, intensity 29
39.65°, 2.273 Å, intensity 34
39.78°, 2.266 Å, intensity 100
41.43°, 2.180 Å, intensity 9
41.65°, 2.168 Å, intensity 26
60.36°, 1.534 Å, intensity 17
64.25°, 1.450 Å, intensity 8
64.42°, 1.446 Å, intensity 32
70.72°, 1.332 Å, intensity 17
71.03°, 1.327 Å, intensity 17
84.55°, 1.146 Å, intensity 8

Crystal structure
```
Ho3TmRu8
1.0
2.6540 1.5323 8.7182
-2.6540 1.5323 8.7182
0.0000 -3.0646 8.7182
Ho Tm Ru
3 1 8
Direct
0.0000 0.0000 0.0000
0.1250 0.1250 0.1250
0.6249 0.6249 0.6249
0.5001 0.5001 0.5001
0.0626 0.0626 0.5615
0.0626 0.5615 0.0626
0.0633 0.5626 0.5626
0.3126 0.3126 0.3126
0.5615 0.0626 0.0626
0.5626 0.0633 0.5626
0.5626 0.5626 0.0633
0.8126 0.8126 0.8126
```

***

(5)
For Ho2Tm2Ru, a crystal structure in Alexandria, relaxed with PBE gives the calculated powder X-ray diffraction pattern in this record (λ = 1.5418 Å (Cu Kα)).
No peak broadening, texture or thermal motion is included.

Most intense lines, 2θ from 15° to 90°, in order of rising 2θ:
25.89°, 3.441 Å, intensity 17
30.45°, 2.935 Å, intensity 36
31.16°, 2.870 Å, intensity 100
31.44°, 2.846 Å, intensity 44
33.84°, 2.649 Å, intensity 72
36.52°, 2.460 Å, intensity 40
39.11°, 2.303 Å, intensity 27
42.62°, 2.121 Å, intensity 23
50.74°, 1.799 Å, intensity 16
53.37°, 1.717 Å, intensity 19
55.87°, 1.646 Å, intensity 16
58.91°, 1.568 Å, intensity 17

Crystal structure
```
Ho2Tm2Ru
1.0
3.6481 -5.8708 0.0000
3.6481 5.8708 0.0000
-3.1168 0.0000 6.5067
Ho Tm Ru
4 4 2
Direct
0.1739 0.7292 0.7472
0.2708 0.8261 0.2528
0.7292 0.1739 0.7472
0.8261 0.2708 0.2528
0.2435 0.2435 0.6018
0.2721 0.2721 0.1065
0.7279 0.7279 0.8935
0.7565 0.7565 0.3982
0.3739 0.6261 0.5000
0.6261 0.3739 0.5000
```

***

(6)
For Ho3TmRu2, a crystal structure in Alexandria, relaxed with PBE gives the calculated powder X-ray diffraction pattern in this record (λ = 1.5418 Å (Cu Kα)).
No peak broadening, texture or thermal motion is included.

Most intense lines, 2θ from 15° to 90°, in order of rising 2θ:
26.50°, 3.363 Å, intensity 11
28.31°, 3.153 Å, intensity 18
32.99°, 2.715 Å, intensity 100
34.12°, 2.628 Å, intensity 23
37.83°, 2.378 Å, intensity 20
39.17°, 2.300 Å, intensity 63
42.50°, 2.127 Å, intensity 27
53.16°, 1.723 Å, intensity 26
58.44°, 1.579 Å, intensity 34
65.95°, 1.416 Å, intensity 22
73.48°, 1.289 Å, intensity 17
74.99°, 1.266 Å, intensity 10

Crystal structure
```
Ho3TmRu2
1.0
4.7532 -4.7587 0.0000
4.7532 4.7587 0.0000
0.0000 0.0000 6.3058
Ho Tm Ru
6 2 4
Direct
0.0677 0.5686 0.2500
0.0689 0.9311 0.7500
0.4314 0.9323 0.2500
0.5686 0.0677 0.7500
0.9311 0.0689 0.2500
0.9323 0.4314 0.7500
0.4329 0.5671 0.7500
0.5671 0.4329 0.2500
0.2515 0.2515 0.0000
0.2515 0.2515 0.5000
0.7485 0.7485 0.0000
0.7485 0.7485 0.5000
```

***

(7)
For Ho2Tm6Ru, a crystal structure in Alexandria, relaxed with PBE gives the calculated powder X-ray diffraction pattern in this record (λ = 1.5418 Å (Cu Kα)).
No peak broadening, texture or thermal motion is included.

Most intense lines, 2θ from 15° to 90°, in order of rising 2θ:
28.62°, 3.119 Å, intensity 32
30.50°, 2.931 Å, intensity 39
32.44°, 2.760 Å, intensity 91
32.59°, 2.748 Å, intensity 100
42.19°, 2.142 Å, intensity 21
42.40°, 2.132 Å, intensity 11
50.70°, 1.801 Å, intensity 43
55.35°, 1.660 Å, intensity 20
60.13°, 1.539 Å, intensity 14
60.30°, 1.535 Å, intensity 12
61.44°, 1.509 Å, intensity 17
83.61°, 1.157 Å, intensity 18

Crystal structure
```
Ho2Tm6Ru
1.0
8.5225 0.0000 0.0000
0.0000 3.6031 0.0000
-0.5276 0.0000 8.5769
Ho Tm Ru
2 6 1
Direct
0.2010 0.0000 0.0329
0.7990 0.0000 0.9671
0.0557 0.5000 0.7178
0.2657 0.0000 0.4475
0.4610 0.5000 0.8002
0.5390 0.5000 0.1998
0.7343 0.0000 0.5525
0.9443 0.5000 0.2822
0.5000 0.5000 0.5000
```

***

(8)
For HoTm2Ru3, a crystal structure in Alexandria, relaxed with PBE gives the calculated powder X-ray diffraction pattern in this record (λ = 1.5418 Å (Cu Kα)).
No peak broadening, texture or thermal motion is included.

Most intense lines, 2θ from 15° to 90°, in order of rising 2θ:
26.44°, 3.371 Å, intensity 7
26.63°, 3.347 Å, intensity 3
37.74°, 2.384 Å, intensity 51
37.88°, 2.375 Å, intensity 100
46.79°, 1.942 Å, intensity 3
54.43°, 1.686 Å, intensity 17
54.85°, 1.674 Å, intensity 9
61.56°, 1.507 Å, intensity 3
68.23°, 1.375 Å, intensity 35
68.50°, 1.370 Å, intensity 17
80.60°, 1.192 Å, intensity 6
80.95°, 1.188 Å, intensity 11

Crystal structure
```
HoTm2Ru3
1.0
3.3711 0.0000 0.0000
0.0000 3.3711 0.0000
0.0000 0.0000 10.0420
Ho Tm Ru
1 2 3
Direct
0.0000 0.0000 0.0000
0.0000 0.0000 0.3343
0.0000 0.0000 0.6657
0.5000 0.5000 0.1684
0.5000 0.5000 0.5000
0.5000 0.5000 0.8316
```

***

(9)
For HoTm3Ru3, a crystal structure in Alexandria, relaxed with PBE gives the calculated powder X-ray diffraction pattern in this record (λ = 1.5418 Å (Cu Kα)).
No peak broadening, texture or thermal motion is included.

Most intense lines, 2θ from 15° to 90°, in order of rising 2θ:
26.41°, 3.374 Å, intensity 13
26.73°, 3.336 Å, intensity 7
37.54°, 2.396 Å, intensity 20
37.92°, 2.373 Å, intensity 100
54.38°, 1.687 Å, intensity 14
55.06°, 1.668 Å, intensity 7
67.99°, 1.379 Å, intensity 14
68.43°, 1.371 Å, intensity 14
68.55°, 1.369 Å, intensity 7
68.71°, 1.366 Å, intensity 3
80.99°, 1.187 Å, intensity 7
81.14°, 1.185 Å, intensity 4

Crystal structure
```
HoTm3Ru3
1.0
4.7516 -4.7923 0.0000
4.7516 4.7923 0.0000
-0.0112 0.0000 6.6714
Ho Tm Ru
2 6 6
Direct
0.2501 0.2501 0.0008
0.7499 0.7499 0.9992
0.2412 0.7588 0.0000
0.2448 0.2448 0.5007
0.2452 0.7548 0.5000
0.7548 0.2452 0.5000
0.7552 0.7552 0.4993
0.7588 0.2412 0.0000
0.0000 0.0000 0.2509
0.0000 0.0000 0.7491
0.0000 0.5000 0.2510
0.0000 0.5000 0.7490
0.5000 0.0000 0.2510
0.5000 0.0000 0.7490
```

***

(10)
For Ho4URu5, a crystal structure in Alexandria, relaxed with PBE gives the calculated powder X-ray diffraction pattern in this record (λ = 1.5418 Å (Cu Kα)).
No peak broadening, texture or thermal motion is included.

Most intense lines, 2θ from 15° to 90°, in order of rising 2θ:
27.97°, 3.191 Å, intensity 31
32.20°, 2.780 Å, intensity 100
32.80°, 2.731 Å, intensity 27
34.75°, 2.582 Å, intensity 37
35.92°, 2.500 Å, intensity 24
38.82°, 2.320 Å, intensity 17
40.52°, 2.226 Å, intensity 35
44.15°, 2.051 Å, intensity 23
46.19°, 1.966 Å, intensity 26
46.63°, 1.948 Å, intensity 47
54.86°, 1.673 Å, intensity 19
63.82°, 1.458 Å, intensity 17

Crystal structure
```
Ho4URu5
1.0
-4.3950 4.3950 2.7308
4.3950 -4.3950 2.7308
4.3950 4.3950 -2.7308
Ho U Ru
4 1 5
Direct
0.0773 0.3216 0.3990
0.3216 0.9227 0.2443
0.6784 0.0773 0.7557
0.9227 0.6784 0.6010
0.7124 0.7124 0.0000
0.1331 0.1331 0.0000
0.2618 0.5912 0.8742
0.3876 0.2618 0.6706
0.5912 0.7170 0.3294
0.7170 0.3876 0.1258
```

***

(11)
For Y2Ho5Ru5, a crystal structure in Alexandria, relaxed with PBE gives the calculated powder X-ray diffraction pattern in this record (λ = 1.5418 Å (Cu Kα)).
No peak broadening, texture or thermal motion is included.

Most intense lines, 2θ from 15° to 90°, in order of rising 2θ:
26.49°, 3.365 Å, intensity 9
31.00°, 2.885 Å, intensity 26
32.69°, 2.739 Å, intensity 24
36.30°, 2.475 Å, intensity 36
37.43°, 2.403 Å, intensity 100
38.19°, 2.356 Å, intensity 19
44.20°, 2.049 Å, intensity 12
53.13°, 1.724 Å, intensity 12
64.55°, 1.444 Å, intensity 11
66.79°, 1.401 Å, intensity 12
67.53°, 1.387 Å, intensity 17
79.84°, 1.201 Å, intensity 11

Crystal structure
```
Y2Ho5Ru5
1.0
4.1624 -2.4020 0.0000
4.1624 2.4020 0.0000
-2.7588 0.0000 13.3414
Y Ho Ru
2 5 5
Direct
0.0719 0.0719 0.2159
0.9281 0.9281 0.7841
0.2144 0.2144 0.6436
0.3096 0.3096 0.9290
0.5000 0.5000 0.5000
0.6904 0.6904 0.0710
0.7856 0.7856 0.3564
0.0000 0.0000 0.0000
0.1454 0.1454 0.4355
0.3831 0.3831 0.1493
0.6169 0.6169 0.8507
0.8546 0.8546 0.5645
```

***

(12)
For Ho2Zn6Ru, a crystal structure in Alexandria, relaxed with PBE gives the calculated powder X-ray diffraction pattern in this record (λ = 1.5418 Å (Cu Kα)).
No peak broadening, texture or thermal motion is included.

Most intense lines, 2θ from 15° to 90°, in order of rising 2θ:
23.82°, 3.736 Å, intensity 15
31.85°, 2.810 Å, intensity 33
35.46°, 2.531 Å, intensity 85
35.92°, 2.500 Å, intensity 98
36.94°, 2.433 Å, intensity 20
40.14°, 2.246 Å, intensity 100
40.20°, 2.243 Å, intensity 27
50.58°, 1.805 Å, intensity 22
59.16°, 1.562 Å, intensity 14
59.47°, 1.554 Å, intensity 23
66.51°, 1.406 Å, intensity 21
70.57°, 1.335 Å, intensity 17

Crystal structure
```
Ho2Zn6Ru
1.0
4.8733 -2.8063 0.0000
4.8733 2.8063 0.0000
-0.0165 0.0000 5.8289
Ho Zn Ru
2 6 1
Direct
0.1664 0.1664 0.1400
0.8336 0.8336 0.8600
0.1478 0.6762 0.3304
0.3232 0.3232 0.6691
0.3238 0.8522 0.6696
0.6762 0.1478 0.3304
0.6768 0.6768 0.3309
0.8522 0.3238 0.6696
0.5000 0.5000 0.0000
```